Diffraction record for SiSbPd4. The powder X-ray diffraction pattern is computed, not measured: it uses DFT lattice parameters and positions (GGA-PBE) and copper Kα.

The 10 most intense peaks (2θ from 10° to 90°), sorted by position:
(hkl)	2θ (°)	I (rel.)
1 1 4	36.21	1000
2 1 0	36.65	467
0 1 5	37.65	189
2 0 5	38.24	224
3 0 1	40.00	384
2 1 3	40.38	439
1 0 7	41.08	230
3 0 4	45.70	335
0 2 0	51.87	319
4 1 5	67.45	192

```
SiSbPd4
1.0
6.826 0.000 0.000
0.000 3.526 0.000
0.000 0.000 16.247
Si Sb Pd
4 4 16
Cartesian
1.695 0.881 0.896
1.718 2.644 9.020
5.109 0.881 7.227
5.131 2.644 15.351
1.700 2.644 5.035
1.713 0.881 13.159
5.113 2.644 3.088
5.126 0.881 11.212
0.020 2.644 7.059
0.446 2.644 11.444
0.831 2.644 2.408
0.908 2.644 15.546
2.505 0.881 7.422
2.582 0.881 10.531
2.967 0.881 3.321
3.393 0.881 15.183
3.433 2.644 1.064
3.859 2.644 12.926
4.244 2.644 5.716
4.321 2.644 8.825
5.918 0.881 0.701
5.995 0.881 13.839
6.380 0.881 4.803
6.807 0.881 9.188
```